# 1
For CaTeRh, a structure optimized by DFT (PBE) gives the computed powder diffractogram in this record (CuKα).
Peak positions follow from Bragg's law for the DFT cell and can differ from measured ones.

Crystal structure
```
data_CaTeRh
_chemical_formula_sum 'Ca4 Te4 Rh4'
_space_group_name_H-M_alt 'P 1 21/c 1'
_space_group_IT_number 14
_cell_length_a 6.2732
_cell_length_b 6.5716
_cell_length_c 7.7633
_cell_angle_alpha 90.00
_cell_angle_beta 114.70
_cell_angle_gamma 90.00
loop_
_space_group_symop_operation_xyz
'x,y,z'
'-x,-y,-z'
'-x,y+1/2,-z+1/2'
'x,-y+1/2,z+1/2'
loop_
_atom_site_label
_atom_site_type_symbol
_atom_site_fract_x
_atom_site_fract_y
_atom_site_fract_z
Ca1 Ca 0.2300 0.1681 0.3866
Te1 Te 0.2253 0.6963 0.5268
Rh1 Rh 0.4334 0.5648 0.3112
```

Main lines, in order of rising 2θ (15 to 90 degrees two-theta):
| 2θ/deg | Rel. int. | hkl |
| --- | --- | --- |
| 15.55 | 57 | 1 0 0 |
| 18.45 | 53 | 0 1 1 |
| 20.63 | 100 | 1 1 0 |
| 30.00 | 30 | 0 2 1 |
| 31.40 | 52 | 2 0 0 |
| 33.97 | 67 | 2 1 -2 |
| 36.42 | 82 | 1 2 1 |
| 37.38 | 100 | 0 2 2 |
| 37.73 | 39 | 1 1 2 |
| 41.97 | 45 | 2 2 0 |
| 47.95 | 34 | 1 3 -2 |
| 58.41 | 30 | 1 4 -1 |

=====

# 2
For Lu2TeO6, a structure optimized by DFT (PBE) gives the computed powder diffractogram in this record (CuKα).
Peak positions follow from Bragg's law for the DFT cell and can differ from measured ones.

Crystal structure
```
data_Lu2TeO6
_chemical_formula_sum 'Lu8 Te4 O24'
_space_group_name_H-M_alt 'P 21 21 21'
_space_group_IT_number 19
_cell_length_a 5.1973
_cell_length_b 8.9923
_cell_length_c 9.8659
_cell_angle_alpha 90.00
_cell_angle_beta 90.00
_cell_angle_gamma 90.00
loop_
_space_group_symop_operation_xyz
'x,y,z'
'-x+1/2,-y,z+1/2'
'x+1/2,-y+1/2,-z'
'-x,y+1/2,-z+1/2'
loop_
_atom_site_label
_atom_site_type_symbol
_atom_site_fract_x
_atom_site_fract_y
_atom_site_fract_z
Lu1 Lu 0.0138 0.1038 0.4626
Lu2 Lu 0.0410 0.2166 0.8657
Te1 Te 0.0350 0.4950 0.3504
O1 O 0.0985 0.8416 0.0307
O2 O 0.1723 0.9517 0.3054
O3 O 0.1758 0.6418 0.8209
O4 O 0.1914 0.6439 0.2369
O5 O 0.2402 0.1172 0.0696
O6 O 0.2406 0.5847 0.4979
```

Main lines, in order of rising 2θ (15 to 90 degrees two-theta):
| 2θ/deg | Rel. int. | hkl |
| --- | --- | --- |
| 26.21 | 56 | 1 2 0 |
| 26.82 | 95 | 1 1 2 |
| 27.75 | 100 | 1 2 1 |
| 28.91 | 36 | 0 1 3 |
| 31.19 | 37 | 0 3 1 |
| 33.76 | 63 | 1 1 3 |
| 34.51 | 39 | 2 0 0 |
| 35.03 | 25 | 0 3 2 |
| 38.07 | 23 | 1 2 3 |
| 45.62 | 24 | 2 1 3 |
| 47.19 | 37 | 2 3 1 |
| 54.80 | 39 | 1 5 1 |

=====

# 3
For Pr4Dy2Y5, a structure optimized by DFT (PBE) gives the computed powder diffractogram in this record (CuKα).
Peak positions follow from Bragg's law for the DFT cell and can differ from measured ones.

Crystal structure
```
data_Pr4Dy2Y5
_chemical_formula_sum 'Pr8 Dy4 Y10'
_space_group_name_H-M_alt 'C 1 2/m 1'
_space_group_IT_number 12
_cell_length_a 19.3105
_cell_length_b 5.7103
_cell_length_c 6.7258
_cell_angle_alpha 90.00
_cell_angle_beta 90.53
_cell_angle_gamma 90.00
loop_
_space_group_symop_operation_xyz
'x,y,z'
'-x,-y,-z'
'-x,y,-z'
'x,-y,z'
'x+1/2,y+1/2,z'
'-x+1/2,-y+1/2,-z'
'-x+1/2,y+1/2,-z'
'x+1/2,-y+1/2,z'
loop_
_atom_site_label
_atom_site_type_symbol
_atom_site_fract_x
_atom_site_fract_y
_atom_site_fract_z
Pr1 Pr 0.0208 0.0000 0.2882
Pr2 Pr 0.1933 0.5000 0.0711
Dy1 Dy 0.0972 0.5000 0.5530
Y1 Y 0.0000 0.5000 0.0000
Y2 Y 0.1307 0.0000 0.8852
Y3 Y 0.2095 0.0000 0.3998
```

Main lines, in order of rising 2θ (15 to 90 degrees two-theta):
| 2θ/deg | Rel. int. | hkl |
| --- | --- | --- |
| 20.80 | 10 | 3 1 0 |
| 30.69 | 37 | 6 0 -1 |
| 30.86 | 22 | 5 1 -1 |
| 31.05 | 100 | 5 1 1 |
| 31.18 | 94 | 1 1 -2 |
| 31.33 | 57 | 0 2 0 |
| 44.42 | 27 | 6 2 -1 |
| 44.73 | 17 | 4 0 3 |
| 55.61 | 37 | 5 3 1 |
| 55.67 | 18 | 1 3 -2 |
| 61.55 | 11 | 11 1 -2 |
| 73.98 | 12 | 6 4 -1 |

=====

# 4
For CsSrHg14, a structure optimized by DFT (PBE) gives the computed powder diffractogram in this record (CuKα).
Peak positions follow from Bragg's law for the DFT cell and can differ from measured ones.

Crystal structure
```
data_CsSrHg14
_chemical_formula_sum 'Cs4 Sr4 Hg56'
_space_group_name_H-M_alt 'I m m a'
_space_group_IT_number 74
_space_group_name_Hall '-I 2b 2'
_cell_length_a 11.3501
_cell_length_b 11.6078
_cell_length_c 15.4927
_cell_angle_alpha 90.00
_cell_angle_beta 90.00
_cell_angle_gamma 90.00
loop_
_atom_site_label
_atom_site_type_symbol
_atom_site_fract_x
_atom_site_fract_y
_atom_site_fract_z
Cs1 Cs 0.0000 0.2500 0.1115
Sr1 Sr 0.0000 0.0000 0.5000
Hg1 Hg 0.1274 0.2500 0.7881
Hg2 Hg 0.1328 0.0089 0.2977
Hg3 Hg 0.1411 0.2500 0.5862
Hg4 Hg 0.1446 0.2500 0.3841
Hg5 Hg 0.1456 0.0496 0.9121
```

Main lines, in order of rising 2θ (15 to 90 degrees two-theta):
| 2θ/deg | Rel. int. | hkl |
| --- | --- | --- |
| 18.10 | 15 | 1 2 1 |
| 27.34 | 16 | 3 1 2 |
| 28.78 | 76 | 0 3 3 |
| 29.86 | 14 | 0 1 5 |
| 30.81 | 60 | 0 4 0 |
| 31.53 | 54 | 4 0 0 |
| 33.72 | 98 | 1 2 5 |
| 40.72 | 100 | 3 2 5 |
| 44.67 | 27 | 4 4 0 |
| 47.42 | 14 | 3 5 2 |
| 67.11 | 29 | 7 2 5 |
| 69.09 | 14 | 4 0 10 |

=====

# 5
For YNiB2Ru, a structure optimized by DFT (PBE) gives the computed powder diffractogram in this record (CuKα).
Peak positions follow from Bragg's law for the DFT cell and can differ from measured ones.

Crystal structure
```
data_YNiB2Ru
_chemical_formula_sum 'Y2 Ni2 B4 Ru2'
_space_group_name_H-M_alt 'I -4 m 2'
_space_group_IT_number 119
_space_group_name_Hall 'I -4 -2'
_cell_length_a 3.6870
_cell_length_b 3.6870
_cell_length_c 9.5819
_cell_angle_alpha 90.00
_cell_angle_beta 90.00
_cell_angle_gamma 90.00
loop_
_atom_site_label
_atom_site_type_symbol
_atom_site_fract_x
_atom_site_fract_y
_atom_site_fract_z
Y1 Y 0.0000 0.0000 0.0000
Ni1 Ni 0.0000 0.5000 0.2500
B1 B 0.0000 0.0000 0.3557
Ru1 Ru 0.0000 0.5000 0.7500
```

Main lines, in order of rising 2θ (15 to 90 degrees two-theta):
| 2θ/deg | Rel. int. | hkl |
| --- | --- | --- |
| 18.52 | 18 | 0 0 2 |
| 25.89 | 37 | 1 0 1 |
| 37.25 | 22 | 1 0 3 |
| 37.55 | 26 | 0 0 4 |
| 39.35 | 100 | 1 1 2 |
| 49.44 | 29 | 2 0 0 |
| 63.49 | 9 | 2 1 3 |
| 63.70 | 22 | 2 0 4 |
| 68.96 | 20 | 1 1 6 |
| 72.51 | 9 | 2 2 0 |
| 84.64 | 9 | 2 2 4 |
| 85.76 | 20 | 3 1 2 |

=====

# 6
For U2Mn17C2, a structure optimized by DFT (PBE) gives the computed powder diffractogram in this record (CuKα).
Peak positions follow from Bragg's law for the DFT cell and can differ from measured ones.

Crystal structure
```
data_U2Mn17C2
_chemical_formula_sum 'U4 Mn34 C4'
_space_group_name_H-M_alt 'C 1 2/m 1'
_space_group_IT_number 12
_cell_length_a 9.4231
_cell_length_b 8.4768
_cell_length_c 6.3753
_cell_angle_alpha 90.00
_cell_angle_beta 98.63
_cell_angle_gamma 90.00
loop_
_space_group_symop_operation_xyz
'x,y,z'
'-x,-y,-z'
'-x,y,-z'
'x,-y,z'
'x+1/2,y+1/2,z'
'-x+1/2,-y+1/2,-z'
'-x+1/2,y+1/2,-z'
'x+1/2,-y+1/2,z'
loop_
_atom_site_label
_atom_site_type_symbol
_atom_site_fract_x
_atom_site_fract_y
_atom_site_fract_z
U1 U 0.1479 0.0000 0.3422
Mn1 Mn 0.0000 0.2289 0.0000
Mn2 Mn 0.0000 0.5000 0.5000
Mn3 Mn 0.0978 0.2556 0.6558
Mn4 Mn 0.1014 0.5000 0.8999
Mn5 Mn 0.1415 0.3646 0.2753
Mn6 Mn 0.1432 0.0000 0.8697
Mn7 Mn 0.2500 0.2500 0.0000
C1 C 0.2500 0.2500 0.5000
```

Main lines, in order of rising 2θ (15 to 90 degrees two-theta):
| 2θ/deg | Rel. int. | hkl |
| --- | --- | --- |
| 20.97 | 38 | 1 1 1 |
| 30.43 | 31 | 1 1 -2 |
| 30.54 | 31 | 2 2 -1 |
| 30.66 | 28 | 3 1 0 |
| 36.74 | 60 | 1 3 1 |
| 38.40 | 39 | 2 2 -2 |
| 42.68 | 100 | 0 4 0 |
| 43.10 | 62 | 0 0 3 |
| 43.29 | 40 | 3 3 0 |
| 44.79 | 43 | 4 0 -2 |
| 62.23 | 23 | 0 4 3 |
| 63.32 | 24 | 2 2 -4 |

=====

# 7
For Zn4RuN4, a structure optimized by DFT (PBE) gives the computed powder diffractogram in this record (CuKα).
Peak positions follow from Bragg's law for the DFT cell and can differ from measured ones.

Crystal structure
```
data_Zn4RuN4
_chemical_formula_sum 'Zn8 Ru2 N8'
_space_group_name_H-M_alt 'P -1'
_space_group_IT_number 2
_cell_length_a 5.6504
_cell_length_b 5.7352
_cell_length_c 7.9495
_cell_angle_alpha 76.93
_cell_angle_beta 77.16
_cell_angle_gamma 68.20
loop_
_space_group_symop_operation_xyz
'x,y,z'
'-x,-y,-z'
loop_
_atom_site_label
_atom_site_type_symbol
_atom_site_fract_x
_atom_site_fract_y
_atom_site_fract_z
Zn1 Zn 0.1303 0.1847 0.3888
Zn2 Zn 0.2342 0.2613 0.9997
Zn3 Zn 0.3463 0.8852 0.7517
Zn4 Zn 0.3515 0.3948 0.6353
Ru1 Ru 0.2210 0.6950 0.2119
N1 N 0.0016 0.4969 0.8093
N2 N 0.0263 0.0709 0.6528
N3 N 0.3639 0.8480 0.0062
N4 N 0.3960 0.3811 0.3749
```

Main lines, in order of rising 2θ (15 to 90 degrees two-theta):
| 2θ/deg | Rel. int. | hkl |
| --- | --- | --- |
| 30.33 | 20 | -1 1 1 |
| 31.75 | 31 | 1 2 1 |
| 34.11 | 20 | 0 2 0 |
| 34.26 | 62 | 0 2 1 |
| 34.54 | 100 | 1 1 -2 |
| 34.80 | 58 | 2 0 1 |
| 35.39 | 76 | 1 1 3 |
| 36.67 | 73 | 1 -1 2 |
| 38.20 | 63 | 2 2 1 |
| 45.47 | 27 | -1 1 3 |
| 45.58 | 19 | 1 -1 3 |
| 57.78 | 26 | 2 -2 0 |

=====

# 8
For LiZn2Au, a structure optimized by DFT (PBE) gives the computed powder diffractogram in this record (CuKα).
Peak positions follow from Bragg's law for the DFT cell and can differ from measured ones.

Crystal structure
```
data_LiZn2Au
_chemical_formula_sum 'Li2 Zn4 Au2'
_space_group_name_H-M_alt 'P m m n'
_space_group_IT_number 59
_cell_length_a 4.5292
_cell_length_b 5.7702
_cell_length_c 4.6389
_cell_angle_alpha 90.00
_cell_angle_beta 90.00
_cell_angle_gamma 90.00
loop_
_space_group_symop_operation_xyz
'x,y,z'
'-x,-y,-z'
'-x+1/2,-y+1/2,z'
'x+1/2,y+1/2,-z'
'x+1/2,-y,-z'
'-x+1/2,y,z'
'-x,y+1/2,-z'
'x,-y+1/2,z'
loop_
_atom_site_label
_atom_site_type_symbol
_atom_site_fract_x
_atom_site_fract_y
_atom_site_fract_z
Li1 Li 0.2500 0.2500 0.1834
Zn1 Zn 0.2500 0.5015 0.6959
Au1 Au 0.2500 0.7500 0.1972
```

Main lines, in order of rising 2θ (15 to 90 degrees two-theta):
| 2θ/deg | Rel. int. | hkl |
| --- | --- | --- |
| 24.62 | 57 | 0 1 1 |
| 24.99 | 64 | 1 1 0 |
| 38.83 | 20 | 0 0 2 |
| 39.80 | 30 | 2 0 0 |
| 41.93 | 100 | 1 2 1 |
| 43.85 | 18 | 1 0 2 |
| 46.73 | 15 | 1 1 2 |
| 47.37 | 21 | 2 1 1 |
| 51.63 | 9 | 1 3 0 |
| 56.82 | 13 | 2 0 2 |
| 73.71 | 17 | 3 2 1 |
| 82.63 | 10 | 2 2 3 |

=====

# 9
For Dy3Al4, a structure optimized by DFT (PBE) gives the computed powder diffractogram in this record (CuKα).
Peak positions follow from Bragg's law for the DFT cell and can differ from measured ones.

Crystal structure
```
data_Dy3Al4
_chemical_formula_sum 'Dy6 Al8'
_space_group_name_H-M_alt 'I m m m'
_space_group_IT_number 71
_space_group_name_Hall '-I 2 2'
_cell_length_a 3.5792
_cell_length_b 4.5203
_cell_length_c 19.7066
_cell_angle_alpha 90.00
_cell_angle_beta 90.00
_cell_angle_gamma 90.00
loop_
_atom_site_label
_atom_site_type_symbol
_atom_site_fract_x
_atom_site_fract_y
_atom_site_fract_z
Dy1 Dy 0.0000 0.0000 0.0000
Dy2 Dy 0.0000 0.5000 0.1957
Al1 Al 0.0000 0.0000 0.4337
Al2 Al 0.0000 0.5000 0.3609
```

Main lines, in order of rising 2θ (15 to 90 degrees two-theta):
| 2θ/deg | Rel. int. | hkl |
| --- | --- | --- |
| 18.01 | 15 | 0 0 4 |
| 23.90 | 75 | 0 1 3 |
| 25.29 | 16 | 1 0 1 |
| 27.15 | 17 | 0 0 6 |
| 33.20 | 100 | 1 1 2 |
| 33.83 | 63 | 1 0 5 |
| 37.64 | 41 | 0 1 7 |
| 39.89 | 25 | 0 2 0 |
| 49.22 | 21 | 1 1 8 |
| 53.27 | 35 | 1 2 5 |
| 57.10 | 16 | 2 1 3 |
| 65.12 | 16 | 2 1 7 |

=====

# 10
For Sm2Ho5Sc2, a structure optimized by DFT (PBE) gives the computed powder diffractogram in this record (CuKα).
Peak positions follow from Bragg's law for the DFT cell and can differ from measured ones.

Crystal structure
```
data_Sm2Ho5Sc2
_chemical_formula_sum 'Sm2 Ho5 Sc2'
_space_group_name_H-M_alt 'P -1'
_space_group_IT_number 2
_cell_length_a 6.0352
_cell_length_b 6.0404
_cell_length_c 9.2333
_cell_angle_alpha 90.06
_cell_angle_beta 109.04
_cell_angle_gamma 119.89
loop_
_space_group_symop_operation_xyz
'x,y,z'
'-x,-y,-z'
loop_
_atom_site_label
_atom_site_type_symbol
_atom_site_fract_x
_atom_site_fract_y
_atom_site_fract_z
Sm1 Sm 0.1642 0.3355 0.9997
Ho1 Ho 0.0609 0.1124 0.3372
Ho2 Ho 0.2764 0.5566 0.6626
Ho3 Ho 0.5000 0.0000 0.0000
Sc1 Sc 0.3929 0.7821 0.3387
```

Main lines, in order of rising 2θ (15 to 90 degrees two-theta):
| 2θ/deg | Rel. int. | hkl |
| --- | --- | --- |
| 17.30 | 5 | 1 0 -1 |
| 31.40 | 100 | 2 -1 0 |
| 36.42 | 50 | 1 1 1 |
| 52.43 | 30 | 3 0 -2 |
| 52.54 | 6 | -3 3 1 |
| 62.40 | 31 | 2 2 -1 |
| 62.49 | 10 | -3 3 4 |
| 65.49 | 6 | 2 2 -4 |
| 65.58 | 6 | -2 4 2 |
| 85.79 | 9 | 1 4 -3 |
| 85.86 | 6 | 4 1 -4 |
| 88.58 | 9 | 1 4 0 |

=====

# 11
For CaTb4HoSe8, a structure optimized by DFT (PBE) gives the computed powder diffractogram in this record (CuKα).
Peak positions follow from Bragg's law for the DFT cell and can differ from measured ones.

Crystal structure
```
data_CaTb4HoSe8
_chemical_formula_sum 'Ca3 Tb12 Ho3 Se24'
_space_group_name_H-M_alt 'R 3 m'
_space_group_IT_number 160
_space_group_name_Hall 'R 3 -2"'
_cell_length_a 8.4808
_cell_length_b 8.4808
_cell_length_c 20.7266
_cell_angle_alpha 90.00
_cell_angle_beta 90.00
_cell_angle_gamma 120.00
loop_
_atom_site_label
_atom_site_type_symbol
_atom_site_fract_x
_atom_site_fract_y
_atom_site_fract_z
Ca1 Ca 0.0000 0.0000 0.0000
Tb1 Tb 0.0000 0.0000 0.7504
Tb2 Tb 0.0056 0.5028 0.8758
Ho1 Ho 0.0000 0.0000 0.3729
Se1 Se 0.0000 0.0000 0.1347
Se2 Se 0.0000 0.0000 0.6175
Se3 Se 0.0228 0.5114 0.1270
Se4 Se 0.1801 0.3602 0.9560
```

Main lines, in order of rising 2θ (15 to 90 degrees two-theta):
| 2θ/deg | Rel. int. | hkl |
| --- | --- | --- |
| 20.96 | 14 | 1 1 0 |
| 24.64 | 83 | 0 1 5 |
| 29.82 | 72 | 0 2 4 |
| 39.05 | 47 | 1 2 5 |
| 42.68 | 100 | 2 0 8 |
| 44.74 | 10 | 2 1 7 |
| 52.90 | 13 | 4 0 4 |
| 59.20 | 16 | 4 1 3 |
| 61.94 | 16 | 0 4 8 |
| 67.68 | 10 | 5 0 5 |
| 70.25 | 22 | 2 2 12 |
| 78.10 | 23 | 4 2 8 |

=====

# 12
For AlCo2Ru, a structure optimized by DFT (PBE) gives the computed powder diffractogram in this record (CuKα).
Peak positions follow from Bragg's law for the DFT cell and can differ from measured ones.

Crystal structure
```
data_AlCo2Ru
_chemical_formula_sum 'Al1 Co2 Ru1'
_space_group_name_H-M_alt 'P m m m'
_space_group_IT_number 47
_cell_length_a 2.6497
_cell_length_b 3.5729
_cell_length_c 5.1148
_cell_angle_alpha 90.00
_cell_angle_beta 90.00
_cell_angle_gamma 90.00
loop_
_space_group_symop_operation_xyz
'x,y,z'
'-x,-y,-z'
'-x,-y,z'
'x,y,-z'
'x,-y,-z'
'-x,y,z'
'-x,y,-z'
'x,-y,z'
loop_
_atom_site_label
_atom_site_type_symbol
_atom_site_fract_x
_atom_site_fract_y
_atom_site_fract_z
Al1 Al 0.0000 0.0000 0.0000
Co1 Co 0.5000 0.5000 0.2533
Ru1 Ru 0.0000 0.0000 0.5000
```

Main lines, in order of rising 2θ (15 to 90 degrees two-theta):
| 2θ/deg | Rel. int. | hkl |
| --- | --- | --- |
| 17.34 | 48 | 0 0 1 |
| 30.52 | 21 | 0 1 1 |
| 38.26 | 11 | 1 0 1 |
| 42.47 | 100 | 1 1 0 |
| 43.52 | 93 | 0 1 2 |
| 46.20 | 15 | 1 1 1 |
| 49.54 | 63 | 1 0 2 |
| 51.13 | 28 | 0 2 0 |
| 71.17 | 10 | 2 0 0 |
| 73.95 | 37 | 1 2 2 |
| 87.24 | 26 | 2 1 2 |
| 89.39 | 22 | 1 1 4 |